Record 1
For Mn3Ni20B6, a cell relaxed with GGA-PBE gives the calculated powder X-ray diffraction pattern in this record (Cu Kα).

Largest 10 diffraction maxima, in order of rising 2θ, 2θ from 10° to 90°:
d_spacing  I (rel.)
2.604  7
2.329  22
2.126  26
2.004  100
1.841  20
1.761  29
1.736  14
1.227  20
1.203  13
1.143  8

Structure:
```
data_Mn3Ni20B6
_cell_length_a 10.4156
_cell_length_b 10.4156
_cell_length_c 10.4156
_cell_angle_alpha 90.00
_cell_angle_beta 90.00
_cell_angle_gamma 90.00
_space_group_name_H-M_alt 'F m -3 m'
_space_group_IT_number 225
_space_group_name_Hall '-F 4 2 3'
loop_
_atom_site_label
_atom_site_type_symbol
_atom_site_fract_x
_atom_site_fract_y
_atom_site_fract_z
_atom_site_occupancy
Mn1 Mn 0.0000 0.0000 0.0000 1
Mn2 Mn 0.2500 0.2500 0.2500 1
Ni1 Ni 0.0000 0.1698 0.1698 1
Ni2 Ni 0.1186 0.1186 0.3814 1
B1 B 0.0000 0.0000 0.2704 1
```

Record 2
For Mn5B2P, a cell relaxed with GGA-PBE gives the calculated powder X-ray diffraction pattern in this record (Cu Kα).

Largest 10 diffraction maxima, in order of rising 2θ, 2θ from 10° to 90°:
d_spacing  I (rel.)
2.576  13
2.400  69
2.150  43
2.004  100
1.951  21
1.883  66
1.745  53
1.264  19
1.247  17
1.161  26

Structure:
```
data_Mn5B2P
_cell_length_a 5.5176
_cell_length_b 5.5176
_cell_length_c 10.3043
_cell_angle_alpha 90.00
_cell_angle_beta 90.00
_cell_angle_gamma 90.00
_space_group_name_H-M_alt 'I 4/m c m'
_space_group_IT_number 140
_space_group_name_Hall '-I 4 2c'
loop_
_atom_site_label
_atom_site_type_symbol
_atom_site_fract_x
_atom_site_fract_y
_atom_site_fract_z
_atom_site_occupancy
Mn1 Mn 0.0000 0.0000 0.0000 1
Mn2 Mn 0.1692 0.3308 0.1393 1
B1 B 0.1189 0.3811 0.5000 1
P1 P 0.0000 0.0000 0.2500 1
```